This entry pairs a crystal structure of RbNiI4 with its calculated powder diffraction line list. Radiation: Cu Ka. Structure: DFT lattice parameters and positions (PBE).
Intensities are scaled so that the largest is 100.

Largest 6 diffraction maxima, by angle, 10° ≤ 2θ ≤ 90°:
| hkl | 2theta | d [Å] | I (rel.) |
| --- | --- | --- | --- |
| 1 0 0 | 13.48 | 6.567 | 32 |
| 1 1 -1 | 26.86 | 3.319 | 35 |
| 1 1 1 | 27.59 | 3.233 | 100 |
| 1 1 -2 | 31.74 | 2.820 | 30 |
| 2 0 -2 | 32.65 | 2.743 | 28 |
| 3 1 -1 | 47.35 | 1.920 | 37 |

Structure:
```
data_RbNiI4
_cell_length_a 6.584
_cell_length_b 4.169
_cell_length_c 8.969
_cell_angle_alpha 90.00
_cell_angle_beta 94.14
_cell_angle_gamma 90.00
_space_group_name_H-M_alt 'P 1 2/m 1'
_space_group_IT_number 10
loop_
_space_group_symop_operation_xyz
'x,y,z'
'-x,-y,-z'
'-x,y,-z'
'x,-y,z'
loop_
_atom_site_label
_atom_site_type_symbol
_atom_site_fract_x
_atom_site_fract_y
_atom_site_fract_z
Rb1 Rb 0.000 0.000 0.000
Ni1 Ni 0.000 0.500 0.500
I1 I 0.220 0.000 0.636
I2 I 0.259 0.500 0.287
```